Entry 1:
Theoretical powder XRD pattern of Ce2VCo16 for Cu Ka, from a PBE-relaxed structure.
Neutral-atom scattering factors, no anomalous dispersion.

Crystal structure
abc: 14.4114 8.3137 8.1505
angles: 90.00 90.01 90.00
Space group C2/m (No. 12)
Asymmetric unit:
Ce 0.0002 0.0000 0.2467 x4
Ce 0.1674 0.5000 0.7394 x4
V 0.1668 0.5000 0.1134 x4
Co 0.0000 0.5000 0.0000 x2
Co 0.0000 0.5000 0.5000 x2
Co 0.0222 0.3501 0.2497 x8
Co 0.0836 0.2505 0.5193 x8
Co 0.0846 0.2536 0.9741 x8
Co 0.1641 0.2085 0.2498 x8
Co 0.1670 0.0000 0.4804 x4
Co 0.1668 0.5000 0.3900 x4
Co 0.1691 0.0000 0.0259 x4
Co 0.1862 0.1420 0.7501 x8
Co 0.2500 0.2500 0.0000 x4
Co 0.2500 0.2500 0.5000 x4

Largest 12 diffraction maxima, sorted by position, 10° ≤ 2θ ≤ 90°:
d_spacing, 2θ (°), intensity, hkl
2.911, 30.72, 35, 3 1 2
2.401, 37.46, 36, 6 0 0
2.169, 41.64, 38, 4 0 -3
2.079, 43.53, 59, 0 4 0
2.069, 43.76, 100, 6 0 2
2.038, 44.46, 31, 0 0 4
1.852, 49.19, 23, 6 2 -2
1.466, 63.43, 15, 6 4 2
1.455, 63.97, 15, 6 2 4
1.312, 71.95, 15, 9 3 2
1.200, 79.91, 16, 12 0 0
1.182, 81.39, 16, 6 0 6

***

Entry 2:
Theoretical powder XRD pattern of CdSe for Cu Ka, from a PBE-relaxed structure.
Neutral-atom scattering factors, no anomalous dispersion.

Crystal structure
abc: 6.2128 6.2128 6.2128
angles: 90.00 90.00 90.00
Space group F-43m (No. 216)
Asymmetric unit:
Cd 0.0000 0.0000 0.0000 x4
Se 0.2500 0.2500 0.7500 x4

Largest 11 diffraction maxima, sorted by position, 10° ≤ 2θ ≤ 90°:
d_spacing, 2θ (°), intensity, hkl
3.587, 24.82, 100, 1 1 1
3.106, 28.74, 3, 2 0 0
2.197, 41.09, 75, 2 2 0
1.873, 48.60, 47, 3 1 1
1.793, 50.92, 1, 2 2 2
1.553, 59.52, 12, 4 0 0
1.425, 65.49, 19, 3 3 1
1.389, 67.41, 1, 4 2 0
1.268, 74.87, 24, 4 2 2
1.196, 80.30, 14, 5 1 1
1.098, 89.16, 8, 4 4 0

***

Entry 3:
Theoretical powder XRD pattern of Cs2CuF6 for Cu Ka, from a PBE-relaxed structure.
Neutral-atom scattering factors, no anomalous dispersion.

Crystal structure
abc: 9.0965 9.0965 9.0965
angles: 90.00 90.00 90.00
Space group Fm-3m (No. 225)
Asymmetric unit:
Cs 0.2500 0.2500 0.2500 x8
Cu 0.0000 0.0000 0.0000 x4
F 0.0000 0.0000 0.2043 x24

Largest 12 diffraction maxima, sorted by position, 10° ≤ 2θ ≤ 90°:
d_spacing, 2θ (°), intensity, hkl
5.252, 16.88, 27, 1 1 1
4.548, 19.52, 26, 2 0 0
3.216, 27.74, 100, 2 2 0
2.626, 34.14, 36, 2 2 2
2.274, 39.63, 37, 4 0 0
2.034, 44.54, 17, 4 2 0
1.857, 49.06, 36, 4 2 2
1.608, 57.29, 21, 4 4 0
1.516, 61.13, 10, 4 4 2
1.438, 64.82, 22, 6 2 0
1.371, 68.41, 10, 6 2 2
1.216, 78.72, 23, 6 4 2

***

Entry 4:
Theoretical powder XRD pattern of Dy3MnB7 for Cu Ka, from a PBE-relaxed structure.
Neutral-atom scattering factors, no anomalous dispersion.

Crystal structure
abc: 3.4411 15.7586 9.2977
angles: 90.00 90.00 90.00
Space group Cmcm (No. 63)
Asymmetric unit:
Dy 0.0000 0.1040 0.0605 x8
Dy 0.0000 0.2399 0.7500 x4
Mn 0.0000 0.0537 0.7500 x4
B 0.0000 0.2727 0.0324 x8
B 0.0000 0.3702 0.1530 x8
B 0.0000 0.4606 0.7500 x4
B 0.0000 0.4782 0.0983 x8

Largest 12 diffraction maxima, sorted by position, 10° ≤ 2θ ≤ 90°:
d_spacing, 2θ (°), intensity, hkl
4.004, 22.20, 39, 0 2 2
3.362, 26.51, 80, 1 1 0
3.006, 29.72, 95, 0 4 2
2.883, 31.02, 83, 0 2 3
2.750, 32.56, 61, 1 3 1
2.626, 34.14, 43, 0 6 0
2.324, 38.74, 42, 1 5 0
2.279, 39.55, 100, 1 1 3
2.255, 39.99, 38, 1 5 1
2.079, 43.53, 46, 1 5 2
1.562, 59.17, 42, 1 3 5
1.493, 62.18, 40, 0 10 2